1.
Diffraction record for Cu3AgI6. The X-ray powder pattern is theoretical, not measured: it uses a cell relaxed with GGA-PBE and Cu Kα, 1.54184 Å.

Structure:
abc: 11.3208 13.8229 4.0516
angles: 90.00 90.00 90.00
Space group Cmmm (No. 65)
Symmetry-distinct sites (fractional):
Cu: 0.0000 0.0000 0.0000
Cu: 0.2500 0.2500 0.5000
Ag: 0.0000 0.5000 0.0000
I: 0.0000 0.3567 0.5000
I: 0.1753 0.1344 0.0000

The 8 most intense peaks (2θ from 10° to 90°), low angle first:
- hkl 2 2 0, 2θ 20.3, I = 32
- hkl 1 1 1, 2θ 24.2, I = 32
- hkl 3 1 0, 2θ 24.5, I = 63
- hkl 0 2 1, 2θ 25.5, I = 21
- hkl 1 3 1, 2θ 30.4, I = 54
- hkl 3 3 0, 2θ 30.6, I = 44
- hkl 2 4 1, 2θ 37.7, I = 100
- hkl 0 0 2, 2θ 44.7, I = 25

=====

2.
Diffraction record for Tm5PuRu6. The X-ray powder pattern is theoretical, not measured: it uses a cell relaxed with GGA-PBE and Cu Kα, 1.54184 Å.

Structure:
abc: 4.7421 14.2181 6.7216
angles: 90.00 90.00 90.00
Space group Cmmm (No. 65)
Symmetry-distinct sites (fractional):
Tm: 0.0000 0.0000 0.0000
Tm: 0.0000 0.3302 0.5000
Tm: 0.0000 0.3329 0.0000
Pu: 0.0000 0.0000 0.5000
Ru: 0.0000 0.1605 0.2575
Ru: 0.0000 0.5000 0.2629

The 8 most intense peaks (2θ from 10° to 90°), low angle first:
- hkl 0 0 2, 2θ 26.6, I = 9
- hkl 2 0 0, 2θ 37.9, I = 100
- hkl 0 6 2, 2θ 46.9, I = 3
- hkl 0 0 4, 2θ 54.6, I = 6
- hkl 2 6 0, 2θ 54.8, I = 11
- hkl 3 3 2, 2θ 68.5, I = 23
- hkl 1 9 2, 2θ 68.6, I = 11
- hkl 4 0 0, 2θ 81.0, I = 9

=====

3.
Diffraction record for MgAuBr. The X-ray powder pattern is theoretical, not measured: it uses a cell relaxed with GGA-PBE and Cu Kα, 1.54184 Å.

Structure:
abc: 3.7285 3.7285 26.2404
angles: 90.00 90.00 120.00
Space group P-3m1 (No. 164)
Symmetry-distinct sites (fractional):
Mg: 0.3333 0.6667 0.0979
Mg: 0.3333 0.6667 0.6368
Au: 0.3333 0.6667 0.8395
Au: 0.3333 0.6667 0.9654
Br: 0.3333 0.6667 0.2992
Br: 0.3333 0.6667 0.4271

The 8 most intense peaks (2θ from 10° to 90°), low angle first:
- hkl 1 0 0, 2θ 27.6, I = 63
- hkl 0 1 2, 2θ 28.5, I = 100
- hkl 0 1 6, 2θ 34.5, I = 54
- hkl 0 1 7, 2θ 36.7, I = 58
- hkl 1 0 8, 2θ 39.1, I = 43
- hkl 1 0 9, 2θ 41.7, I = 70
- hkl 1 1 0, 2θ 48.9, I = 53
- hkl 1 1 15, 2θ 74.4, I = 26

=====

4.
Diffraction record for Rb2PmSnO4. The X-ray powder pattern is theoretical, not measured: it uses a cell relaxed with GGA-PBE and Cu Kα, 1.54184 Å.

Structure:
abc: 8.4497 8.2470 6.3711
angles: 90.00 129.86 90.00
Space group C2 (No. 5)
Symmetry-distinct sites (fractional):
Rb: 0.0000 0.0000 0.0000
Rb: 0.0000 0.2527 0.5000
Pm: 0.0000 0.4790 0.0000
Sn: 0.0000 0.7468 0.5000
O: 0.1390 0.5945 0.4068
O: 0.2358 0.3055 0.0793

The 8 most intense peaks (2θ from 10° to 90°), low angle first:
- hkl 2 0 0, 2θ 27.5, I = 35
- hkl 0 2 1, 2θ 28.3, I = 100
- hkl 2 2 -1, 2θ 30.3, I = 74
- hkl 0 0 2, 2θ 36.8, I = 23
- hkl 2 2 1, 2θ 47.8, I = 20
- hkl 2 2 -3, 2θ 48.9, I = 18
- hkl 4 2 -3, 2θ 52.6, I = 27
- hkl 4 0 -4, 2θ 58.6, I = 14

=====

5.
Diffraction record for PrAl6Cu4. The X-ray powder pattern is theoretical, not measured: it uses a cell relaxed with GGA-PBE and Cu Kα, 1.54184 Å.

Structure:
abc: 7.0975 7.0975 4.0473
angles: 90.00 90.00 120.00
Space group P-6m2 (No. 187)
Symmetry-distinct sites (fractional):
Pr: 0.0000 0.0000 0.0000
Al: 0.2018 0.4035 0.5000
Al: 0.5343 0.0686 0.0000
Cu: 0.3333 0.6667 0.0000
Cu: 0.4174 0.2087 0.5000

The 8 most intense peaks (2θ from 10° to 90°), low angle first:
- hkl 1 1 0, 2θ 25.1, I = 35
- hkl 1 0 1, 2θ 26.4, I = 60
- hkl 1 1 1, 2θ 33.6, I = 84
- hkl 2 0 1, 2θ 36.7, I = 100
- hkl 2 1 0, 2θ 38.8, I = 74
- hkl 0 0 2, 2θ 44.8, I = 37
- hkl 3 0 1, 2θ 49.9, I = 58
- hkl 2 1 2, 2θ 60.7, I = 38

=====

6.
Diffraction record for PmPrTlH. The X-ray powder pattern is theoretical, not measured: it uses a cell relaxed with GGA-PBE and Cu Kα, 1.54184 Å.

Structure:
abc: 3.9235 4.0386 12.3944
angles: 90.00 90.00 90.00
Space group Imm2 (No. 44)
Symmetry-distinct sites (fractional):
Pm: 0.0000 0.0000 0.0000
Pr: 0.0000 0.0000 0.6977
Tl: 0.0000 0.0000 0.3541
H: 0.0000 0.5000 0.5987

The 8 most intense peaks (2θ from 10° to 90°), low angle first:
- hkl 0 1 3, 2θ 31.0, I = 100
- hkl 1 0 3, 2θ 31.4, I = 96
- hkl 1 1 0, 2θ 31.8, I = 98
- hkl 0 2 0, 2θ 44.9, I = 19
- hkl 2 0 0, 2θ 46.3, I = 18
- hkl 1 1 6, 2θ 55.2, I = 34
- hkl 1 2 3, 2θ 55.8, I = 38
- hkl 2 1 3, 2θ 56.7, I = 37

=====

7.
Diffraction record for La4HoEr5. The X-ray powder pattern is theoretical, not measured: it uses a cell relaxed with GGA-PBE and Cu Kα, 1.54184 Å.

Structure:
abc: 10.7774 10.7774 5.9855
angles: 90.00 90.00 90.00
Space group I4mm (No. 107)
Symmetry-distinct sites (fractional):
La: 0.0000 0.3219 0.0000
Ho: 0.0000 0.0000 0.7508
Er: 0.0000 0.0000 0.2325
Er: 0.1882 0.1882 0.4913

The 8 most intense peaks (2θ from 10° to 90°), low angle first:
- hkl 3 0 1, 2θ 29.0, I = 100
- hkl 0 0 2, 2θ 29.9, I = 13
- hkl 2 0 2, 2θ 34.3, I = 23
- hkl 3 3 0, 2θ 35.3, I = 44
- hkl 6 0 0, 2θ 50.8, I = 13
- hkl 3 0 3, 2θ 52.5, I = 17
- hkl 5 3 2, 2θ 58.7, I = 14
- hkl 6 3 1, 2θ 59.6, I = 17

=====

8.
Diffraction record for Pm5SmGa2. The X-ray powder pattern is theoretical, not measured: it uses a cell relaxed with GGA-PBE and Cu Kα, 1.54184 Å.

Structure:
abc: 4.3593 9.8584 11.1340
angles: 90.00 90.00 90.00
Space group Immm (No. 71)
Symmetry-distinct sites (fractional):
Pm: 0.0000 0.0000 0.0000
Pm: 0.0000 0.2998 0.3488
Sm: 0.0000 0.5000 0.0000
Ga: 0.0000 0.0000 0.2847

The 8 most intense peaks (2θ from 10° to 90°), low angle first:
- hkl 1 2 1, 2θ 28.5, I = 86
- hkl 1 0 3, 2θ 31.7, I = 100
- hkl 1 3 0, 2θ 34.2, I = 35
- hkl 0 4 0, 2θ 36.5, I = 37
- hkl 0 2 4, 2θ 37.1, I = 43
- hkl 2 0 0, 2θ 41.4, I = 28
- hkl 0 0 6, 2θ 49.1, I = 30
- hkl 2 2 4, 2θ 56.8, I = 25

=====

9.
Diffraction record for PuPaTiIn. The X-ray powder pattern is theoretical, not measured: it uses a cell relaxed with GGA-PBE and Cu Kα, 1.54184 Å.

Structure:
abc: 7.0617 7.0617 7.0617
angles: 90.00 90.00 90.00
Space group F-43m (No. 216)
Symmetry-distinct sites (fractional):
Pu: 0.0000 0.0000 0.0000
Pa: 0.2500 0.2500 0.7500
Ti: 0.0000 0.0000 0.5000
In: 0.2500 0.2500 0.2500

The 8 most intense peaks (2θ from 10° to 90°), low angle first:
- hkl 1 1 1, 2θ 21.8, I = 27
- hkl 2 2 0, 2θ 36.0, I = 100
- hkl 3 1 1, 2θ 42.5, I = 16
- hkl 4 0 0, 2θ 51.8, I = 18
- hkl 3 3 1, 2θ 56.8, I = 7
- hkl 4 2 2, 2θ 64.7, I = 37
- hkl 4 4 0, 2θ 76.3, I = 11
- hkl 6 2 0, 2θ 87.3, I = 17

=====

10.
Diffraction record for Mn2TlCrCl8. The X-ray powder pattern is theoretical, not measured: it uses a cell relaxed with GGA-PBE and Cu Kα, 1.54184 Å.

Structure:
abc: 6.2719 6.2745 8.7225
angles: 76.63 76.73 74.56
Space group P-1 (No. 2)
Symmetry-distinct sites (fractional):
Mn: 0.0590 0.0593 0.2708
Tl: 0.5000 0.5000 0.5000
Cr: 0.5000 0.5000 0.0000
Cl: 0.1631 0.1668 0.4853
Cl: 0.2417 0.6881 0.2020
Cl: 0.2560 0.2578 0.0291
Cl: 0.3133 0.7596 0.7971

The 8 most intense peaks (2θ from 10° to 90°), low angle first:
- hkl 1 1 0, 2θ 18.6, I = 100
- hkl 1 -1 0, 2θ 23.4, I = 51
- hkl 0 1 2, 2θ 23.7, I = 66
- hkl 0 1 -2, 2θ 28.2, I = 39
- hkl 2 0 1, 2θ 30.0, I = 56
- hkl 1 -1 2, 2θ 31.8, I = 52
- hkl 2 1 2, 2θ 32.2, I = 45
- hkl 2 1 3, 2θ 38.1, I = 37

=====

11.
Diffraction record for Cs2IrBrCl5. The X-ray powder pattern is theoretical, not measured: it uses a cell relaxed with GGA-PBE and Cu Kα, 1.54184 Å.

Structure:
abc: 7.5893 7.5893 10.4259
angles: 90.00 90.00 90.00
Space group I4mm (No. 107)
Symmetry-distinct sites (fractional):
Cs: 0.0000 0.5000 0.0000
Ir: 0.0000 0.0000 0.2505
Br: 0.0000 0.0000 0.4896
Cl: 0.0000 0.0000 0.0246
Cl: 0.2191 0.2191 0.2500

The 8 most intense peaks (2θ from 10° to 90°), low angle first:
- hkl 1 0 1, 2θ 14.4, I = 100
- hkl 2 0 0, 2θ 23.4, I = 55
- hkl 1 1 2, 2θ 23.8, I = 65
- hkl 2 0 2, 2θ 29.1, I = 37
- hkl 2 2 0, 2θ 33.4, I = 58
- hkl 0 0 4, 2θ 34.4, I = 27
- hkl 3 1 2, 2θ 41.4, I = 27
- hkl 2 2 4, 2θ 48.7, I = 37

=====

12.
Diffraction record for CuPt2F8. The X-ray powder pattern is theoretical, not measured: it uses a cell relaxed with GGA-PBE and Cu Kα, 1.54184 Å.

Structure:
abc: 4.0558 5.5884 7.2623
angles: 111.37 96.20 102.05
Space group P-1 (No. 2)
Symmetry-distinct sites (fractional):
Cu: 0.0000 0.0000 0.0000
Pt: 0.3642 0.7679 0.3580
F: 0.1401 0.2231 0.6808
F: 0.2041 0.3702 0.1270
F: 0.3166 0.6514 0.5736
F: 0.3729 0.9012 0.1342

The 8 most intense peaks (2θ from 10° to 90°), low angle first:
- hkl 0 0 1, 2θ 13.4, I = 53
- hkl 0 1 -1, 2θ 17.4, I = 65
- hkl 1 0 -1, 2θ 24.1, I = 100
- hkl 0 1 -2, 2θ 25.7, I = 75
- hkl 0 1 1, 2θ 26.2, I = 58
- hkl 1 -1 1, 2θ 27.2, I = 63
- hkl 1 1 -3, 2θ 42.4, I = 43
- hkl 2 -1 0, 2θ 45.3, I = 30